Entry 1:
Simulated powder X-ray diffraction pattern of KMg6Sn4 for Cu Kα, from a cell relaxed with GGA-PBE.

Most intense lines, 10 to 90 degrees two-theta, low angle first:
two_theta	Rel. int.
22.9	71
23.8	100
28.5	64
31.0	59
37.5	98
41.3	59

Cell and atoms:
Unit cell a=8.6216 b=8.6216 c=4.5529 alpha=90.00 beta=90.00 gamma=120.00
Fractional coordinates of all 11 atoms:
K 0.0000 0.0000 0.0000
Mg 0.2023 0.4046 0.5000
Mg 0.2023 0.7977 0.5000
Mg 0.5352 0.0705 0.0000
Mg 0.5352 0.4648 0.0000
Mg 0.5954 0.7977 0.5000
Mg 0.9295 0.4648 0.0000
Sn 0.3333 0.6667 0.0000
Sn 0.3916 0.1958 0.5000
Sn 0.8042 0.1958 0.5000
Sn 0.8042 0.6084 0.5000

=====

Entry 2:
Simulated powder X-ray diffraction pattern of Rb3Au2Cl for Cu Kα, from a cell relaxed with GGA-PBE.

Most intense lines, 10 to 90 degrees two-theta, low angle first:
two_theta	Rel. int.
24.4	100
26.6	40
34.7	40
36.3	70
44.2	40
63.3	28

Cell and atoms:
Unit cell a=10.7108 b=10.7108 c=10.7108 alpha=152.07 beta=152.07 gamma=39.91
Fractional coordinates of all 6 atoms:
Rb 0.0000 0.0000 0.0000
Rb 0.3391 0.3391 0.0000
Rb 0.6609 0.6609 0.0000
Au 0.1679 0.1679 0.0000
Au 0.8321 0.8321 0.0000
Cl 0.5000 0.5000 0.0000